For K5Na2Sr, a PBE-relaxed structure gives the calculated powder diffraction line list in this record (CuKα).
Lines closer than 0.1° are merged.

Crystal structure
```
data_K5Na2Sr
_cell_length_a 16.6273
_cell_length_b 13.6700
_cell_length_c 4.3595
_cell_angle_alpha 90.00
_cell_angle_beta 104.43
_cell_angle_gamma 90.00
_space_group_name_H-M_alt 'C 1 2/m 1'
_space_group_IT_number 12
_space_group_name_Hall '-C 2y'
loop_
_atom_site_label
_atom_site_type_symbol
_atom_site_fract_x
_atom_site_fract_y
_atom_site_fract_z
K1 K 0.0000 0.0000 0.0000
K2 K 0.1322 0.2381 0.6353
Na1 Na 0.2305 0.5000 0.7229
Sr1 Sr 0.0000 0.5000 0.0000
```

Main lines, by angle (2θ from 10° to 90°):
d (Å)  2θ (°)  Rel. int.  h k l
5.211  17.02  23  2 2 0
3.592  24.79  52  0 2 1
3.574  24.91  55  2 2 -1
3.469  25.68  100  4 2 0
3.413  26.11  83  0 4 0
3.362  26.51  31  4 0 -1
2.413  37.27  24  2 4 1
2.397  37.53  22  4 4 -1
1.983  45.76  17  4 6 0
1.960  46.33  16  6 2 1
1.940  46.83  17  8 2 -1
1.837  49.63  29  6 2 -2



For K2DyNpTe4, a PBE-relaxed structure gives the calculated powder diffraction line list in this record (CuKα).
Lines closer than 0.1° are merged.

Crystal structure
```
data_K2DyNpTe4
_cell_length_a 7.8797
_cell_length_b 4.5308
_cell_length_c 8.6199
_cell_angle_alpha 90.00
_cell_angle_beta 107.69
_cell_angle_gamma 90.00
_space_group_name_H-M_alt 'P 1 2/m 1'
_space_group_IT_number 10
_space_group_name_Hall '-P 2y'
loop_
_atom_site_label
_atom_site_type_symbol
_atom_site_fract_x
_atom_site_fract_y
_atom_site_fract_z
K1 K 0.0000 0.0000 0.0000
K2 K 0.5000 0.5000 0.0000
Dy1 Dy 0.0000 0.5000 0.5000
Np1 Np 0.5000 0.0000 0.5000
Te1 Te 0.2319 0.0000 0.7090
Te2 Te 0.2599 0.5000 0.2908
```

Main lines, by angle (2θ from 10° to 90°):
d (Å)  2θ (°)  Rel. int.  h k l
8.212  10.77  55  0 0 1
3.883  22.90  11  2 0 -1
3.314  26.90  100  1 1 1
2.622  34.19  21  1 1 2
2.424  37.08  35  1 1 -3
2.272  39.66  25  3 1 -1
2.265  39.79  12  0 2 0
2.190  41.22  9  3 1 0
1.946  46.67  13  2 0 3
1.871  48.67  13  2 2 -2
1.657  55.45  11  4 0 -4
1.446  64.44  11  5 1 -3



For AcNd2ErAs4, a PBE-relaxed structure gives the calculated powder diffraction line list in this record (CuKα).
Lines closer than 0.1° are merged.

Crystal structure
```
data_AcNd2ErAs4
_cell_length_a 7.4478
_cell_length_b 4.3048
_cell_length_c 7.4529
_cell_angle_alpha 90.00
_cell_angle_beta 109.37
_cell_angle_gamma 90.00
_space_group_name_H-M_alt 'P 1 2/m 1'
_space_group_IT_number 10
_space_group_name_Hall '-P 2y'
loop_
_atom_site_label
_atom_site_type_symbol
_atom_site_fract_x
_atom_site_fract_y
_atom_site_fract_z
Ac1 Ac 0.0000 0.0000 0.0000
Nd1 Nd 0.0000 0.5000 0.5000
Nd2 Nd 0.5000 0.0000 0.5000
Er1 Er 0.5000 0.5000 0.0000
As1 As 0.2621 0.0000 0.7531
As2 As 0.2635 0.5000 0.2555
```

Main lines, by angle (2θ from 10° to 90°):
d (Å)  2θ (°)  Rel. int.  h k l
3.514  25.35  26  2 0 0
3.043  29.35  100  1 1 1
2.152  41.99  76  0 2 0
1.835  49.68  14  3 1 1
1.757  52.05  27  0 0 4
1.522  60.85  8  2 2 2
1.520  60.96  4  4 0 -4
1.397  67.01  4  4 0 2
1.361  68.98  23  1 3 1
1.360  69.07  11  3 1 -5
1.243  76.69  19  2 0 -6
1.241  76.78  6  4 2 -4



For Mg6Ir, a PBE-relaxed structure gives the calculated powder diffraction line list in this record (CuKα).
Lines closer than 0.1° are merged.

Crystal structure
```
data_Mg6Ir
_cell_length_a 8.4066
_cell_length_b 7.3876
_cell_length_c 9.2830
_cell_angle_alpha 90.00
_cell_angle_beta 90.00
_cell_angle_gamma 90.00
_space_group_name_H-M_alt 'C m c m'
_space_group_IT_number 63
_space_group_name_Hall '-C 2c 2'
loop_
_atom_site_label
_atom_site_type_symbol
_atom_site_fract_x
_atom_site_fract_y
_atom_site_fract_z
Mg1 Mg 0.0000 0.1647 0.0870
Mg2 Mg 0.1722 0.5000 0.0000
Mg3 Mg 0.1871 0.2149 0.7500
Ir1 Ir 0.0000 0.4669 0.2500
```

Main lines, by angle (2θ from 10° to 90°):
d (Å)  2θ (°)  Rel. int.  h k l
5.549  15.97  100  1 1 0
4.641  19.12  28  0 0 2
4.203  21.14  25  2 0 0
3.694  24.09  14  0 2 0
3.560  25.01  63  1 1 2
3.116  28.65  20  2 0 2
2.775  32.26  13  2 2 0
2.382  37.77  46  2 2 2
2.363  38.08  22  1 3 0
2.282  39.50  45  3 1 2
2.141  42.21  27  1 1 4
2.104  42.99  14  4 0 0



For LiMgAuO2, a PBE-relaxed structure gives the calculated powder diffraction line list in this record (CuKα).
Lines closer than 0.1° are merged.

Crystal structure
```
data_LiMgAuO2
_cell_length_a 5.5762
_cell_length_b 5.7795
_cell_length_c 5.8410
_cell_angle_alpha 90.00
_cell_angle_beta 110.14
_cell_angle_gamma 90.00
_space_group_name_H-M_alt 'P 1 2/c 1'
_space_group_IT_number 13
_space_group_name_Hall '-P 2yc'
loop_
_atom_site_label
_atom_site_type_symbol
_atom_site_fract_x
_atom_site_fract_y
_atom_site_fract_z
Li1 Li 0.0000 0.2345 0.2500
Mg1 Mg 0.5000 0.4920 0.7500
Au1 Au 0.5000 0.0000 0.0000
O1 O 0.3225 0.3223 0.4373
```

Main lines, by angle (2θ from 10° to 90°):
d (Å)  2θ (°)  Rel. int.  h k l
5.779  15.33  52  0 1 0
5.235  16.94  100  1 0 0
3.880  22.92  48  1 1 0
2.890  30.95  17  0 2 0
2.869  31.18  19  1 0 -2
2.569  34.92  28  1 1 -2
2.530  35.48  29  1 2 0
2.477  36.26  26  0 1 2
2.384  37.73  17  2 1 0
2.167  41.68  19  2 1 -2
2.010  45.10  16  1 1 2
1.940  46.83  15  2 2 0



For Cs3U2Se5Cl2, a PBE-relaxed structure gives the calculated powder diffraction line list in this record (CuKα).
Lines closer than 0.1° are merged.

Crystal structure
```
data_Cs3U2Se5Cl2
_cell_length_a 5.5420
_cell_length_b 5.5420
_cell_length_c 28.7186
_cell_angle_alpha 90.00
_cell_angle_beta 90.00
_cell_angle_gamma 90.00
_space_group_name_H-M_alt 'I 4/m m m'
_space_group_IT_number 139
_space_group_name_Hall '-I 4 2'
loop_
_atom_site_label
_atom_site_type_symbol
_atom_site_fract_x
_atom_site_fract_y
_atom_site_fract_z
Cs1 Cs 0.0000 0.0000 0.0000
Cs2 Cs 0.0000 0.0000 0.1837
U1 U 0.0000 0.0000 0.4043
Se1 Se 0.0000 0.0000 0.5000
Se2 Se 0.0000 0.5000 0.0977
Cl1 Cl 0.0000 0.0000 0.3088
```

Main lines, by angle (2θ from 10° to 90°):
d (Å)  2θ (°)  Rel. int.  h k l
7.180  12.33  34  0 0 4
5.442  16.29  28  1 0 1
3.988  22.29  100  1 0 5
3.919  22.69  52  1 1 0
2.872  31.14  35  0 0 10
2.770  32.32  94  2 0 0
2.276  39.60  47  2 1 5
1.994  45.49  48  2 0 10
1.959  46.35  39  2 2 0
1.619  56.89  25  2 2 10
1.239  76.95  19  4 2 0
1.138  85.32  20  4 2 10



For Pm12Nd2Er, a PBE-relaxed structure gives the calculated powder diffraction line list in this record (CuKα).
Lines closer than 0.1° are merged.

Crystal structure
```
data_Pm12Nd2Er
_cell_length_a 6.5636
_cell_length_b 6.5636
_cell_length_c 25.4054
_cell_angle_alpha 90.00
_cell_angle_beta 90.00
_cell_angle_gamma 90.00
_space_group_name_H-M_alt 'P 4/n b m'
_space_group_IT_number 125
loop_
_space_group_symop_operation_xyz
'x,y,z'
'-x,-y,-z'
'-y+1/2,x,z'
'y+1/2,-x,-z'
'-x+1/2,-y+1/2,z'
'x+1/2,y+1/2,-z'
'y,-x+1/2,z'
'-y,x+1/2,-z'
'x,-y+1/2,-z'
'-x,y+1/2,z'
'-y+1/2,-x+1/2,-z'
'y+1/2,x+1/2,z'
'-x+1/2,y,-z'
'x+1/2,-y,z'
'y,x,-z'
'-y,-x,z'
loop_
_atom_site_label
_atom_site_type_symbol
_atom_site_fract_x
_atom_site_fract_y
_atom_site_fract_z
Pm1 Pm 0.0644 0.5644 0.1130
Pm2 Pm 0.0826 0.5826 0.5620
Pm3 Pm 0.2500 0.2500 0.2140
Pm4 Pm 0.2500 0.2500 0.3376
Nd1 Nd 0.2500 0.7500 0.2672
Er1 Er 0.2500 0.7500 0.0000
```

Main lines, by angle (2θ from 10° to 90°):
d (Å)  2θ (°)  Rel. int.  h k l
4.359  20.37  23  1 1 2
3.177  28.08  42  2 0 2
3.060  29.18  30  2 0 3
2.916  30.66  37  2 0 4
2.859  31.28  100  1 1 7
2.823  31.70  32  0 0 9
2.665  33.64  26  2 1 4
2.542  35.31  23  2 1 5
2.321  38.81  31  2 2 0
2.282  39.48  21  2 1 7
1.815  50.27  17  2 1 11
1.672  54.91  26  3 1 9



For Yb3Pm, a PBE-relaxed structure gives the calculated powder diffraction line list in this record (CuKα).
Lines closer than 0.1° are merged.

Crystal structure
```
data_Yb3Pm
_cell_length_a 8.1960
_cell_length_b 8.1960
_cell_length_c 8.1960
_cell_angle_alpha 90.00
_cell_angle_beta 90.00
_cell_angle_gamma 90.00
_space_group_name_H-M_alt 'F m -3 m'
_space_group_IT_number 225
_space_group_name_Hall '-F 4 2 3'
loop_
_atom_site_label
_atom_site_type_symbol
_atom_site_fract_x
_atom_site_fract_y
_atom_site_fract_z
Yb1 Yb 0.0000 0.0000 0.0000
Yb2 Yb 0.2500 0.2500 0.2500
Pm1 Pm 0.0000 0.0000 0.5000
```

Main lines, by angle (2θ from 10° to 90°):
d (Å)  2θ (°)  Rel. int.  h k l
2.898  30.86  100  2 2 0
2.049  44.20  19  4 0 0
1.673  54.88  40  4 2 2
1.449  64.29  12  4 4 0
1.296  73.01  17  6 2 0
1.183  81.34  4  4 4 4
1.095  89.48  21  6 4 2



For Na5B6C4, a PBE-relaxed structure gives the calculated powder diffraction line list in this record (CuKα).
Lines closer than 0.1° are merged.

Crystal structure
```
data_Na5B6C4
_cell_length_a 2.8542
_cell_length_b 2.8542
_cell_length_c 42.4020
_cell_angle_alpha 90.00
_cell_angle_beta 90.00
_cell_angle_gamma 120.00
_space_group_name_H-M_alt 'P -6 m 2'
_space_group_IT_number 187
_space_group_name_Hall 'P -6 2'
loop_
_atom_site_label
_atom_site_type_symbol
_atom_site_fract_x
_atom_site_fract_y
_atom_site_fract_z
Na1 Na 0.0000 0.0000 0.0496
Na2 Na 0.0000 0.0000 0.1486
Na3 Na 0.0000 0.0000 0.2477
Na4 Na 0.0000 0.0000 0.3474
Na5 Na 0.0000 0.0000 0.4498
B1 B 0.3333 0.6667 0.0991
B2 B 0.3333 0.6667 0.2972
B3 B 0.3333 0.6667 0.3985
B4 B 0.3333 0.6667 0.5000
B5 B 0.6667 0.3333 0.0000
B6 B 0.6667 0.3333 0.1981
B7 B 0.6667 0.3333 0.3985
C1 C 0.3333 0.6667 0.0000
C2 C 0.3333 0.6667 0.1981
C3 C 0.6667 0.3333 0.0991
C4 C 0.6667 0.3333 0.2971
C5 C 0.6667 0.3333 0.5000
```

Main lines, by angle (2θ from 10° to 90°):
d (Å)  2θ (°)  Rel. int.  h k l
4.240  20.95  1  0 0 10
2.472  36.35  18  1 0 0
2.135  42.32  100  1 0 10
2.120  42.65  25  0 0 20
2.081  43.49  1  1 0 11
1.609  57.25  10  1 0 20
1.427  65.39  17  1 1 0
1.353  69.50  1  1 1 10
1.236  77.18  2  2 0 0
1.227  77.85  11  1 0 30
1.187  81.04  11  2 0 10
1.184  81.26  17  1 1 20



For K2ErBr6, a PBE-relaxed structure gives the calculated powder diffraction line list in this record (CuKα).
Lines closer than 0.1° are merged.

Crystal structure
```
data_K2ErBr6
_cell_length_a 4.4649
_cell_length_b 14.8164
_cell_length_c 8.5360
_cell_angle_alpha 90.00
_cell_angle_beta 90.00
_cell_angle_gamma 90.00
_space_group_name_H-M_alt 'A m m 2'
_space_group_IT_number 38
_space_group_name_Hall 'A 2 -2'
loop_
_atom_site_label
_atom_site_type_symbol
_atom_site_fract_x
_atom_site_fract_y
_atom_site_fract_z
K1 K 0.0000 0.1670 0.0000
Er1 Er 0.5000 0.0000 0.5009
Br1 Br 0.0000 0.0000 0.7353
Br2 Br 0.0000 0.1170 0.3831
Br3 Br 0.5000 0.0000 0.1459
Br4 Br 0.5000 0.1775 0.6775
```

Main lines, by angle (2θ from 10° to 90°):
d (Å)  2θ (°)  Rel. int.  h k l
7.400  11.96  100  0 1 1
3.087  28.92  81  1 0 2
2.849  31.40  54  1 4 0
2.797  32.00  25  0 5 1
2.467  36.42  45  0 3 3
2.370  37.96  67  1 5 1
2.232  40.40  23  2 0 0
2.159  41.84  19  1 6 0
2.137  42.30  17  0 6 2
1.745  52.44  12  2 5 1
1.655  55.52  26  2 3 3
1.587  58.13  21  1 8 2



For Ac11Tl9Ni4, a PBE-relaxed structure gives the calculated powder diffraction line list in this record (CuKα).
Lines closer than 0.1° are merged.

Crystal structure
```
data_Ac11Tl9Ni4
_cell_length_a 15.7627
_cell_length_b 23.7280
_cell_length_c 4.0097
_cell_angle_alpha 90.00
_cell_angle_beta 90.00
_cell_angle_gamma 90.00
_space_group_name_H-M_alt 'C m m m'
_space_group_IT_number 65
_space_group_name_Hall '-C 2 2'
loop_
_atom_site_label
_atom_site_type_symbol
_atom_site_fract_x
_atom_site_fract_y
_atom_site_fract_z
Ac1 Ac 0.0000 0.0000 0.0000
Ac2 Ac 0.0000 0.1634 0.0000
Ac3 Ac 0.0000 0.3749 0.0000
Ac4 Ac 0.1870 0.5000 0.0000
Ac5 Ac 0.2474 0.3336 0.0000
Tl1 Tl 0.0000 0.5000 0.5000
Tl2 Tl 0.1035 0.2631 0.5000
Tl3 Tl 0.1486 0.0702 0.5000
Ni1 Ni 0.1516 0.4007 0.5000
```

Main lines, by angle (2θ from 10° to 90°):
d (Å)  2θ (°)  Rel. int.  h k l
3.522  25.29  13  3 5 0
3.159  28.25  18  3 1 1
3.007  29.71  13  1 5 1
2.957  30.22  11  3 3 1
2.813  31.81  100  0 6 1
2.791  32.06  41  4 6 0
2.648  33.85  13  3 5 1
2.600  34.49  11  1 9 0
2.565  34.98  14  6 2 0
2.005  45.23  17  0 0 2
1.766  51.77  10  6 8 1
1.628  56.52  19  4 6 2



For Tb2Dy6Ru, a PBE-relaxed structure gives the calculated powder diffraction line list in this record (CuKα).
Lines closer than 0.1° are merged.

Crystal structure
```
data_Tb2Dy6Ru
_cell_length_a 8.6346
_cell_length_b 3.6795
_cell_length_c 8.7049
_cell_angle_alpha 90.00
_cell_angle_beta 93.47
_cell_angle_gamma 90.00
_space_group_name_H-M_alt 'P 1 2/m 1'
_space_group_IT_number 10
_space_group_name_Hall '-P 2y'
loop_
_atom_site_label
_atom_site_type_symbol
_atom_site_fract_x
_atom_site_fract_y
_atom_site_fract_z
Tb1 Tb 0.1999 0.0000 0.0326
Dy1 Dy 0.0552 0.5000 0.7168
Dy2 Dy 0.2694 0.0000 0.4481
Dy3 Dy 0.4627 0.5000 0.8006
Ru1 Ru 0.5000 0.5000 0.5000
```

Main lines, by angle (2θ from 10° to 90°):
d (Å)  2θ (°)  Rel. int.  h k l
3.179  28.07  18  1 1 -1
2.971  30.08  34  2 0 2
2.808  31.87  46  0 1 2
2.798  31.99  100  1 0 -3
2.778  32.22  21  3 0 -1
2.174  41.54  18  1 1 3
2.166  41.69  11  3 1 1
1.840  49.55  13  0 2 0
1.827  49.93  25  3 1 -3
1.684  54.48  18  2 1 4
1.561  59.19  12  1 1 -5
1.537  60.21  11  1 2 -3